# La12TlGa5
Theoretical XRD peak list, Cu Kα (λ = 1.5418 Å). Input: a structure optimized by DFT (GGA-PBE).
Lines closer than 0.1° are merged.

abc: 9.093 9.093 9.093
angles: 112.04 111.14 105.32
Sites, in units of the cell vectors:
La 0.043 0.239 0.804
La 0.175 0.272 0.448
La 0.175 0.728 0.903
La 0.325 0.030 0.705
La 0.325 0.620 0.295
La 0.435 0.239 0.196
La 0.565 0.761 0.804
La 0.675 0.380 0.705
La 0.675 0.970 0.295
La 0.825 0.272 0.097
La 0.825 0.728 0.552
La 0.957 0.761 0.196
Tl 0.500 0.500 0.000
Ga 0.000 0.000 0.000
Ga 0.119 0.619 0.500
Ga 0.357 0.000 0.357
Ga 0.643 0.000 0.643
Ga 0.881 0.381 0.500

Principal peaks in the range 2θ from 15° to 90°, in order of falling intensity:
two_theta  I_rel
29.55  1000
31.26  597
31.98  539
32.51  498
35.32  323
55.10  255
27.72  199
27.25  194
32.68  185
34.85  172